Starting from the GGA-PBE geometry in Alexandria, the powder X-ray diffraction pattern of Th6Ge3BiAs2 was simulated for Cu Kα.
Lines closer than 0.1° are merged.

Main lines, in order of rising 2θ (2θ from 15° to 90°):
- d = 3.552 Å, intensity 14, (4 0 -2)
- d = 3.537 Å, intensity 14, (3 1 0)
- d = 3.070 Å, intensity 100, (1 1 -2)
- d = 2.178 Å, intensity 13, (2 0 -4)
- d = 2.170 Å, intensity 51, (7 1 -2)
- d = 2.164 Å, intensity 13, (0 2 0)
- d = 1.769 Å, intensity 14, (6 2 0)
- d = 1.535 Å, intensity 13, (2 2 -4)
- d = 1.373 Å, intensity 17, (8 2 -4)
- d = 1.251 Å, intensity 13, (7 3 -2)

Cell and atoms:
Lattice parameters (Å, degrees): 18.921 4.328 8.711 90.00 103.35 90.00
Space group C2/m (No. 12)
Inequivalent atoms, fractional coordinates:
Th 0.001 0.000 0.270 [4 per cell]
Th 0.166 0.500 0.585 [4 per cell]
Th 0.174 0.500 0.086 [4 per cell]
Ge 0.000 0.500 0.500 [2 per cell]
Ge 0.164 0.000 0.832 [4 per cell]
Bi 0.000 0.500 0.000 [2 per cell]
As 0.168 0.000 0.334 [4 per cell]

=====

Starting from the GGA-PBE geometry in Alexandria, the powder X-ray diffraction pattern of Bi2AsH2Pd7 was simulated for Cu Kα.
Lines closer than 0.1° are merged.

Main lines, in order of rising 2θ (2θ from 15° to 90°):
- d = 2.881 Å, intensity 15, (0 2 0)
- d = 2.811 Å, intensity 13, (0 0 4)
- d = 2.791 Å, intensity 41, (2 0 0)
- d = 2.564 Å, intensity 30, (2 0 1)
- d = 2.523 Å, intensity 19, (1 1 3)
- d = 2.284 Å, intensity 100, (2 0 -4)
- d = 2.249 Å, intensity 19, (0 0 5)
- d = 2.037 Å, intensity 58, (2 2 -1)
- d = 1.510 Å, intensity 21, (2 2 4)
- d = 1.218 Å, intensity 26, (4 2 -5)

Cell and atoms:
Lattice parameters (Å, degrees): 5.757 5.766 11.608 90.00 104.35 90.00
Space group C2/m (No. 12)
Inequivalent atoms, fractional coordinates:
Bi 0.199 0.000 0.395 [4 per cell]
As 0.000 0.000 0.000 [2 per cell]
H 0.084 0.500 0.173 [4 per cell]
Pd 0.000 0.500 0.000 [2 per cell]
Pd 0.164 0.250 0.829 [8 per cell]
Pd 0.176 0.500 0.350 [4 per cell]

=====

Starting from the GGA-PBE geometry in Alexandria, the powder X-ray diffraction pattern of Bi2AsH3Pd8 was simulated for Cu Kα.
Lines closer than 0.1° are merged.

Main lines, in order of rising 2θ (2θ from 15° to 90°):
- d = 2.934 Å, intensity 60, (1 1 0)
- d = 2.708 Å, intensity 100, (1 1 3)
- d = 2.470 Å, intensity 78, (2 0 2)
- d = 2.347 Å, intensity 86, (0 0 9)
- d = 2.290 Å, intensity 56, (0 2 4)
- d = 2.254 Å, intensity 40, (1 1 6)
- d = 2.178 Å, intensity 79, (2 0 5)
- d = 1.944 Å, intensity 55, (0 2 7)
- d = 1.467 Å, intensity 57, (2 2 0)
- d = 1.244 Å, intensity 58, (2 2 9)

Cell and atoms:
Lattice parameters (Å, degrees): 5.8676 5.8676 21.1362 90.00 90.00 120.00
Space group R3m (No. 160, hexagonal axes)
Inequivalent atoms, fractional coordinates:
Bi 0.0000 0.0000 0.0000 [3 per cell]
Bi 0.0000 0.0000 0.3449 [3 per cell]
As 0.0000 0.0000 0.6395 [3 per cell]
H 0.0231 0.5115 0.4822 [9 per cell]
Pd 0.0000 0.0000 0.2209 [3 per cell]
Pd 0.0000 0.0000 0.7672 [3 per cell]
Pd 0.0013 0.5007 0.7796 [9 per cell]
Pd 0.1678 0.3357 0.5562 [9 per cell]

=====

Starting from the GGA-PBE geometry in Alexandria, the powder X-ray diffraction pattern of Ho5Bi4As was simulated for Cu Kα.
Lines closer than 0.1° are merged.

Main lines, in order of rising 2θ (2θ from 15° to 90°):
- d = 3.108 Å, intensity 100, (1 1 0)
- d = 2.197 Å, intensity 76, (2 0 0)
- d = 1.794 Å, intensity 27, (2 0 10)
- d = 1.555 Å, intensity 9, (2 2 0)
- d = 1.551 Å, intensity 4, (0 0 20)
- d = 1.390 Å, intensity 24, (3 1 0)
- d = 1.388 Å, intensity 10, (1 1 20)
- d = 1.269 Å, intensity 18, (3 1 10)
- d = 1.268 Å, intensity 8, (2 0 20)
- d = 1.098 Å, intensity 5, (2 2 20)

Cell and atoms:
Lattice parameters (Å, degrees): 4.398 4.398 31.026 90.00 90.00 90.00
Space group I4/mmm (No. 139)
Inequivalent atoms, fractional coordinates:
Ho 0.000 0.000 0.000 [2 per cell]
Ho 0.000 0.000 0.201 [4 per cell]
Ho 0.000 0.000 0.408 [4 per cell]
Bi 0.000 0.000 0.100 [4 per cell]
Bi 0.000 0.000 0.303 [4 per cell]
As 0.000 0.000 0.500 [2 per cell]

=====

Starting from the GGA-PBE geometry in Alexandria, the powder X-ray diffraction pattern of BiAsIr was simulated for Cu Kα.
Lines closer than 0.1° are merged.

Main lines, in order of rising 2θ (2θ from 15° to 90°):
- d = 5.662 Å, intensity 63, (0 0 1)
- d = 2.828 Å, intensity 100, (1 1 2)
- d = 2.739 Å, intensity 45, (0 2 0)
- d = 2.726 Å, intensity 25, (1 0 -1)
- d = 2.377 Å, intensity 34, (1 2 1)
- d = 2.343 Å, intensity 22, (-1 2 1)
- d = 2.178 Å, intensity 35, (1 -1 2)
- d = 2.125 Å, intensity 32, (0 2 -1)
- d = 1.970 Å, intensity 28, (2 0 1)
- d = 1.599 Å, intensity 18, (2 -2 1)

Cell and atoms:
Lattice parameters (Å, degrees): 3.940 6.111 6.612 64.96 72.79 90.00
Space group P-1 (No. 2)
Inequivalent atoms, fractional coordinates:
Bi 0.135 0.295 0.233 [2 per cell]
As 0.395 0.234 0.709 [2 per cell]
Ir 0.231 0.814 0.037 [2 per cell]

=====

Starting from the GGA-PBE geometry in Alexandria, the powder X-ray diffraction pattern of K2BiAs2 was simulated for Cu Kα.
Lines closer than 0.1° are merged.

Main lines, in order of rising 2θ (2θ from 15° to 90°):
- d = 5.275 Å, intensity 87, (0 0 1)
- d = 3.825 Å, intensity 32, (2 0 0)
- d = 3.777 Å, intensity 36, (1 1 1)
- d = 3.097 Å, intensity 100, (2 0 1)
- d = 2.870 Å, intensity 53, (2 1 1)
- d = 2.637 Å, intensity 41, (0 0 2)
- d = 2.419 Å, intensity 60, (3 1 0)
- d = 2.199 Å, intensity 56, (3 1 1)
- d = 1.783 Å, intensity 48, (3 1 2)
- d = 1.443 Å, intensity 30, (5 1 1)

Cell and atoms:
Lattice parameters (Å, degrees): 7.650 7.650 5.275 90.00 90.00 90.00
Space group P4/mbm (No. 127)
Inequivalent atoms, fractional coordinates:
K 0.179 0.321 0.000 [4 per cell]
Bi 0.000 0.000 0.500 [2 per cell]
As 0.114 0.614 0.500 [4 per cell]

=====

Starting from the GGA-PBE geometry in Alexandria, the powder X-ray diffraction pattern of KBiAsO4 was simulated for Cu Kα.
Lines closer than 0.1° are merged.

Main lines, in order of rising 2θ (2θ from 15° to 90°):
- d = 5.375 Å, intensity 100, (1 1 1)
- d = 3.292 Å, intensity 91, (2 2 0)
- d = 2.807 Å, intensity 37, (3 1 1)
- d = 2.136 Å, intensity 30, (3 3 1)
- d = 1.900 Å, intensity 38, (4 2 2)
- d = 1.792 Å, intensity 15, (5 1 1)
- d = 1.646 Å, intensity 16, (4 4 0)
- d = 1.574 Å, intensity 21, (5 3 1)
- d = 1.472 Å, intensity 16, (6 2 0)
- d = 1.244 Å, intensity 20, (6 4 2)

Cell and atoms:
Lattice parameters (Å, degrees): 9.310 9.310 9.310 90.00 90.00 90.00
Space group F-43m (No. 216)
Inequivalent atoms, fractional coordinates:
K 0.000 0.000 0.000 [4 per cell]
Bi 0.250 0.250 0.750 [4 per cell]
As 0.000 0.000 0.500 [4 per cell]
O 0.112 0.112 0.612 [16 per cell]

=====

Starting from the GGA-PBE geometry in Alexandria, the powder X-ray diffraction pattern of KBi2As2S6 was simulated for Cu Kα.
Lines closer than 0.1° are merged.

Main lines, in order of rising 2θ (2θ from 15° to 90°):
- d = 5.600 Å, intensity 50, (1 1 1)
- d = 4.118 Å, intensity 52, (1 -1 1)
- d = 4.092 Å, intensity 44, (1 0 -1)
- d = 3.987 Å, intensity 61, (1 1 2)
- d = 3.386 Å, intensity 50, (2 1 1)
- d = 3.096 Å, intensity 74, (-1 2 1)
- d = 2.935 Å, intensity 85, (1 -1 2)
- d = 2.824 Å, intensity 100, (2 2 1)
- d = 2.547 Å, intensity 63, (-1 2 2)
- d = 1.981 Å, intensity 43, (1 3 -1)

Cell and atoms:
Lattice parameters (Å, degrees): 7.034 8.189 8.210 67.65 66.92 80.85
Space group P-1 (No. 2)
Inequivalent atoms, fractional coordinates:
K 0.000 0.000 0.000 [1 per cell]
Bi 0.288 0.014 0.361 [2 per cell]
As 0.373 0.365 0.562 [2 per cell]
S 0.021 0.175 0.585 [2 per cell]
S 0.389 0.770 0.636 [2 per cell]
S 0.413 0.217 0.833 [2 per cell]

=====

Starting from the GGA-PBE geometry in Alexandria, the powder X-ray diffraction pattern of KBiAsSe2 was simulated for Cu Kα.
Lines closer than 0.1° are merged.

Main lines, in order of rising 2θ (2θ from 15° to 90°):
- d = 5.691 Å, intensity 100, (1 0 0)
- d = 5.562 Å, intensity 50, (0 0 1)
- d = 3.978 Å, intensity 43, (1 0 1)
- d = 2.846 Å, intensity 77, (2 0 0)
- d = 2.781 Å, intensity 36, (0 0 2)
- d = 2.545 Å, intensity 29, (2 1 0)
- d = 2.533 Å, intensity 29, (2 0 1)
- d = 2.012 Å, intensity 28, (2 2 0)
- d = 1.989 Å, intensity 54, (2 0 2)
- d = 1.630 Å, intensity 29, (2 2 2)

Cell and atoms:
Lattice parameters (Å, degrees): 5.691 5.691 5.562 90.00 90.00 90.00
Space group P4/mmm (No. 123)
Inequivalent atoms, fractional coordinates:
K 0.000 0.000 0.000 [1 per cell]
Bi 0.500 0.500 0.500 [1 per cell]
As 0.500 0.500 0.000 [1 per cell]
Se 0.000 0.500 0.500 [2 per cell]

=====

Starting from the GGA-PBE geometry in Alexandria, the powder X-ray diffraction pattern of La3Bi2As was simulated for Cu Kα.
Lines closer than 0.1° are merged.

Main lines, in order of rising 2θ (2θ from 15° to 90°):
- d = 3.248 Å, intensity 100, (0 4 0)
- d = 2.298 Å, intensity 64, (2 4 6)
- d = 2.290 Å, intensity 13, (0 0 12)
- d = 1.878 Å, intensity 14, (4 4 0)
- d = 1.872 Å, intensity 14, (0 4 12)
- d = 1.624 Å, intensity 13, (0 8 0)
- d = 1.453 Å, intensity 24, (2 8 6)
- d = 1.449 Å, intensity 6, (2 0 18)
- d = 1.328 Å, intensity 13, (4 8 0)
- d = 1.323 Å, intensity 9, (2 4 18)

Cell and atoms:
Lattice parameters (Å, degrees): 9.206 13.002 27.476 90.00 90.00 90.00
Space group Fddd (No. 70, origin choice 2)
Inequivalent atoms, fractional coordinates:
La 0.108 0.375 0.375 [16 per cell]
La 0.118 0.368 0.212 [32 per cell]
Bi 0.125 0.125 0.377 [16 per cell]
Bi 0.125 0.125 0.544 [16 per cell]
As 0.125 0.125 0.042 [16 per cell]

=====

- Number 8 is which compound?
  KBi2As2S6